Entry 1:
This entry pairs a crystal structure of RbCr3O8 with its theoretical PXRD pattern. Radiation: Cu Kα, 1.54184 Å. Structure: DFT lattice parameters and positions (GGA+U).
Lines closer than 0.1° are merged.

Largest 6 diffraction maxima, sorted by position, 2θ from 10° to 90°:
| 2theta | I (rel.) |
| --- | --- |
| 19.9 | 42 |
| 21.9 | 37 |
| 22.2 | 68 |
| 28.2 | 100 |
| 29.5 | 37 |
| 34.3 | 57 |

Cell and atoms:
Unit cell a=5.256 b=5.256 c=8.227 alpha=94.09 beta=94.09 gamma=63.57
Positions (direct):
Rb 0.000 0.000 0.000
Cr 0.000 0.000 0.500
Cr 0.370 0.370 0.696
Cr 0.630 0.630 0.304
O 0.220 0.220 0.562
O 0.224 0.724 0.671
O 0.276 0.776 0.329
O 0.321 0.321 0.883
O 0.679 0.679 0.117
O 0.724 0.224 0.671
O 0.776 0.276 0.329
O 0.780 0.780 0.438

=====

Entry 2:
This entry pairs a crystal structure of RbCrO3 with its theoretical PXRD pattern. Radiation: Cu Kα, 1.54184 Å. Structure: DFT lattice parameters and positions (GGA+U).
Lines closer than 0.1° are merged.

Largest 6 diffraction maxima, sorted by position, 2θ from 10° to 90°:
| 2theta | I (rel.) |
| --- | --- |
| 32.1 | 100 |
| 39.5 | 16 |
| 46.0 | 40 |
| 57.2 | 37 |
| 67.1 | 23 |
| 76.3 | 16 |

Cell and atoms:
Unit cell a=3.947 b=3.947 c=3.947 alpha=90.00 beta=90.00 gamma=90.00
Positions (direct):
Rb 0.000 0.000 0.000
Cr 0.500 0.500 0.500
O 0.000 0.500 0.500
O 0.500 0.000 0.500
O 0.500 0.500 0.000

=====

Entry 3:
This entry pairs a crystal structure of RbCrO2 with its theoretical PXRD pattern. Radiation: Cu Kα, 1.54184 Å. Structure: DFT lattice parameters and positions (GGA+U).
Lines closer than 0.1° are merged.

Largest 6 diffraction maxima, sorted by position, 2θ from 10° to 90°:
| 2theta | I (rel.) |
| --- | --- |
| 28.4 | 43 |
| 33.9 | 60 |
| 37.9 | 100 |
| 51.0 | 30 |
| 58.1 | 28 |
| 65.9 | 22 |

Cell and atoms:
Unit cell a=3.177 b=3.177 c=18.854 alpha=90.00 beta=90.00 gamma=120.00
Positions (direct):
Rb 0.000 0.000 0.000
Rb 0.333 0.667 0.667
Rb 0.667 0.333 0.333
Cr 0.000 0.000 0.500
Cr 0.333 0.667 0.167
Cr 0.667 0.333 0.833
O 0.000 0.000 0.220
O 0.000 0.000 0.780
O 0.333 0.667 0.446
O 0.333 0.667 0.887
O 0.667 0.333 0.113
O 0.667 0.333 0.554

=====

Entry 4:
This entry pairs a crystal structure of Rb2Cr2O5 with its theoretical PXRD pattern. Radiation: Cu Kα, 1.54184 Å. Structure: DFT lattice parameters and positions (GGA+U).
Lines closer than 0.1° are merged.

Largest 6 diffraction maxima, sorted by position, 2θ from 10° to 90°:
| 2theta | I (rel.) |
| --- | --- |
| 28.8 | 100 |
| 31.9 | 19 |
| 32.8 | 21 |
| 35.1 | 17 |
| 46.4 | 20 |
| 56.1 | 17 |

Cell and atoms:
Unit cell a=10.833 b=10.833 c=10.833 alpha=42.41 beta=149.94 gamma=150.78
Positions (direct):
Rb 0.000 0.110 0.110
Rb 0.000 0.390 0.390
Rb 0.000 0.610 0.610
Rb 0.000 0.890 0.890
Cr 0.462 0.284 0.677
Cr 0.503 0.003 0.500
Cr 0.503 0.503 0.000
Cr 0.607 0.784 0.323
O 0.003 0.251 0.748
O 0.003 0.754 0.252
O 0.011 0.107 0.404
O 0.425 0.658 0.122
O 0.425 0.804 0.267
O 0.502 0.254 0.252
O 0.502 0.751 0.748
O 0.536 0.158 0.733
O 0.536 0.304 0.878
O 0.703 0.607 0.596